Theoretical X-ray powder pattern of MnZnTe4 for Cu Kα X-rays, from a GGA-PBE-relaxed structure.

Largest 6 diffraction maxima, by intensity, 10 to 90 degrees two-theta:
d (Å), I_rel, (hkl)
2.816, 100, 1 2 -1
3.086, 98, 1 0 -2
2.080, 49, 1 1 3
3.078, 49, 2 1 0
1.913, 43, 3 0 -2
1.844, 41, 1 3 2

Crystal structure
```
MnZnTe4
1.0
6.879 0.000 0.000
0.000 6.896 0.000
-0.021 0.000 6.907
Mn Zn Te
2 2 8
direct
0.000 0.000 0.000
0.000 0.500 0.500
0.500 0.000 0.500
0.500 0.500 0.000
0.115 0.121 0.380
0.115 0.379 0.880
0.379 0.615 0.384
0.379 0.885 0.884
0.621 0.115 0.116
0.621 0.385 0.616
0.885 0.621 0.120
0.885 0.879 0.620
```

---

Theoretical X-ray powder pattern of LiBH4 for Cu Kα X-rays, from a GGA-PBE-relaxed structure.

Largest 6 diffraction maxima, by intensity, 10 to 90 degrees two-theta:
d (Å), I_rel, (hkl)
7.485, 100, 0 1 0
6.576, 28, 1 1 0
3.914, 16, 3 1 0
4.591, 15, 3 0 0
6.887, 12, 2 0 0
3.744, 9, 0 2 0

Crystal structure
```
LiBH4
1.0
13.813 0.000 0.000
0.000 7.485 0.000
-0.655 0.000 8.661
Li B H
4 4 16
direct
0.158 0.014 0.244
0.158 0.986 0.744
0.842 0.014 0.256
0.842 0.986 0.756
0.154 0.068 0.995
0.154 0.932 0.495
0.846 0.068 0.505
0.846 0.932 0.005
0.084 0.146 0.038
0.084 0.854 0.538
0.142 0.088 0.452
0.142 0.912 0.952
0.235 0.108 0.048
0.235 0.892 0.548
0.344 0.025 0.289
0.344 0.975 0.789
0.656 0.025 0.211
0.656 0.975 0.711
0.765 0.108 0.452
0.765 0.892 0.952
0.858 0.088 0.048
0.858 0.912 0.548
0.916 0.146 0.462
0.916 0.854 0.962
```